(1)
Starting from DFT lattice parameters and positions (GGA-PBE), the XRD peak list of IrSe3Br9 was computed for Cu Kα (λ = 1.5418 Å).
Peak positions follow from Bragg's law for the DFT cell and can differ from measured ones.

Principal peaks in the range 10 to 80 degrees two-theta, sorted by position:
| 2θ (°) | Rel. int. | h k l |
| --- | --- | --- |
| 11.87 | 83 | 0 1 1 |
| 12.57 | 66 | 0 0 2 |
| 12.93 | 71 | 1 1 0 |
| 13.21 | 64 | 1 0 -1 |
| 13.37 | 100 | 1 0 1 |
| 28.50 | 86 | -1 2 1 |
| 30.09 | 34 | 2 1 -3 |
| 30.19 | 41 | 2 2 -2 |

Structure:
a = 8.0804 Å, b = 8.7033 Å, c = 14.2211 Å
α = 81.94°, β = 87.94°, γ = 69.39°
Space group P-1 (No. 2)
Unique sites:
Ir 0.2173 0.2867 0.2477 x2
Se 0.3439 0.3591 0.3779 x2
Se 0.3557 0.4253 0.1296 x2
Se 0.4414 0.0123 0.2521 x2
Br 0.0778 0.4839 0.7630 x2
Br 0.1161 0.1316 0.1349 x2
Br 0.1257 0.1100 0.3873 x2
Br 0.1649 0.6191 0.4216 x2
Br 0.2381 0.7154 0.1419 x2
Br 0.2440 0.4390 0.9742 x2
Br 0.3551 0.0417 0.6167 x2
Br 0.3633 0.9766 0.8770 x2
Br 0.3989 0.5783 0.6823 x2

---

(2)
Starting from DFT lattice parameters and positions (GGA-PBE), the XRD peak list of Hf3GaTe3 was computed for Cu Kα (λ = 1.5418 Å).
Peak positions follow from Bragg's law for the DFT cell and can differ from measured ones.

Principal peaks in the range 10 to 80 degrees two-theta, sorted by position:
| 2θ (°) | Rel. int. | h k l |
| --- | --- | --- |
| 11.10 | 15 | 1 1 0 |
| 29.65 | 23 | 3 2 1 |
| 31.75 | 100 | 4 0 0 |
| 37.41 | 13 | 3 3 2 |
| 45.51 | 71 | 4 4 0 |
| 56.56 | 24 | 4 4 4 |
| 66.33 | 11 | 8 0 0 |
| 75.41 | 28 | 8 4 0 |

Structure:
a = 11.2742 Å, b = 11.2742 Å, c = 11.2742 Å
α = 90.00°, β = 90.00°, γ = 90.00°
Space group I4_132 (No. 214)
Unique sites:
Hf 0.1137 0.3637 0.1250 x24
Ga 0.1250 0.1250 0.1250 x8
Te 0.1181 0.1319 0.6250 x24

---

(3)
Starting from DFT lattice parameters and positions (GGA-PBE), the XRD peak list of NaPr2S3 was computed for Cu Kα (λ = 1.5418 Å).
Peak positions follow from Bragg's law for the DFT cell and can differ from measured ones.

Principal peaks in the range 10 to 80 degrees two-theta, sorted by position:
| 2θ (°) | Rel. int. | h k l |
| --- | --- | --- |
| 14.28 | 22 | 0 0 2 |
| 16.91 | 39 | 0 1 1 |
| 26.50 | 36 | 0 1 3 |
| 26.69 | 36 | 1 1 0 |
| 30.75 | 100 | 1 0 3 |
| 30.92 | 49 | 0 2 0 |
| 44.16 | 71 | 1 2 3 |
| 73.07 | 23 | 3 0 3 |

Structure:
a = 4.0916 Å, b = 5.7849 Å, c = 12.4016 Å
α = 90.00°, β = 90.00°, γ = 90.00°
Space group Immm (No. 71)
Unique sites:
Na 0.0000 0.0000 0.0000 x2
Pr 0.0000 0.0000 0.3366 x4
S 0.0000 0.5000 0.0000 x2
S 0.0000 0.5000 0.3308 x4

---

What did the first record say?
Starting from DFT lattice parameters and positions (GGA-PBE), the XRD peak list of IrSe3Br9 was computed for Cu Kα (λ = 1.5418 Å).
Peak positions follow from Bragg's law for the DFT cell and can differ from measured ones.

Principal peaks in the range 10 to 80 degrees two-theta, sorted by position:
| 2θ (°) | Rel. int. | h k l |
| --- | --- | --- |
| 11.87 | 83 | 0 1 1 |
| 12.57 | 66 | 0 0 2 |
| 12.93 | 71 | 1 1 0 |
| 13.21 | 64 | 1 0 -1 |
| 13.37 | 100 | 1 0 1 |
| 28.50 | 86 | -1 2 1 |
| 30.09 | 34 | 2 1 -3 |
| 30.19 | 41 | 2 2 -2 |

Structure:
a = 8.0804 Å, b = 8.7033 Å, c = 14.2211 Å
α = 81.94°, β = 87.94°, γ = 69.39°
Space group P-1 (No. 2)
Unique sites:
Ir 0.2173 0.2867 0.2477 x2
Se 0.3439 0.3591 0.3779 x2
Se 0.3557 0.4253 0.1296 x2
Se 0.4414 0.0123 0.2521 x2
Br 0.0778 0.4839 0.7630 x2
Br 0.1161 0.1316 0.1349 x2
Br 0.1257 0.1100 0.3873 x2
Br 0.1649 0.6191 0.4216 x2
Br 0.2381 0.7154 0.1419 x2
Br 0.2440 0.4390 0.9742 x2
Br 0.3551 0.0417 0.6167 x2
Br 0.3633 0.9766 0.8770 x2
Br 0.3989 0.5783 0.6823 x2